Calculated powder diffraction line list
Compound: LiFeF4
Radiation: Cu Kα (λ = 1.5418 Å)
Structure: a structure optimized by DFT (GGA+U)
Lines closer than 0.1° are merged.

Crystal structure
```
LiFeF4
1.0
5.5707 0.0000 0.0000
0.0000 7.1256 0.0000
-2.9467 0.0000 9.9830
Li Fe F
4 4 16
Direct
0.1655 0.0259 0.1201 Li
0.1655 0.4741 0.6201 Li
0.8345 0.5259 0.3799 Li
0.8345 0.9741 0.8799 Li
0.3397 0.6701 0.9249 Fe
0.3397 0.8299 0.4249 Fe
0.6603 0.1701 0.5751 Fe
0.6603 0.3299 0.0751 Fe
0.1090 0.5800 0.7726 F
0.1090 0.9200 0.2726 F
0.1202 0.6644 0.4812 F
0.1202 0.8356 0.9812 F
0.4172 0.5374 0.0942 F
0.4172 0.9626 0.5942 F
0.4502 0.1494 0.1092 F
0.4502 0.3506 0.6092 F
0.5498 0.6494 0.3908 F
0.5498 0.8506 0.8908 F
0.5828 0.0374 0.4058 F
0.5828 0.4626 0.9058 F
0.8798 0.1644 0.0188 F
0.8798 0.3356 0.5188 F
0.8910 0.0800 0.7274 F
0.8910 0.4200 0.2274 F
```

Largest 6 diffraction maxima, in order of rising 2θ, 15° ≤ 2θ ≤ 90°:
2θ (°)  d_spacing  I (rel.)
17.77  4.992  41
20.65  4.301  100
20.78  4.275  87
21.74  4.088  85
30.07  2.972  32
30.46  2.935  33